This entry pairs a crystal structure of Li5Zn2Cu4 with its simulated XRD peak list. Radiation: a wavelength of 1.5418 Å. Structure: a GGA-PBE-relaxed structure.
Peak positions follow from Bragg's law for the DFT cell and can differ from measured ones.

Main lines, by intensity (2θ = 5–70°):
6.966 Å, 2θ 12.71, rel. 100
2.279 Å, 2θ 39.54, rel. 33
2.105 Å, 2θ 42.98, rel. 26
3.483 Å, 2θ 25.58, rel. 25
1.761 Å, 2θ 51.93, rel. 23
1.842 Å, 2θ 49.49, rel. 23
2.326 Å, 2θ 38.72, rel. 22
4.263 Å, 2θ 20.84, rel. 19
2.419 Å, 2θ 37.16, rel. 17
1.801 Å, 2θ 50.68, rel. 16

Cell and atoms:
Cell: 9.4283 9.4283 9.4283 Å, 164.45 132.25 50.52°
Positions (direct):
Li (0.0000, 0.0000, 0.0000)
Li (0.0654, 0.3531, 0.7123)
Li (0.3593, 0.6469, 0.7123)
Li (0.6407, 0.3531, 0.2877)
Li (0.9346, 0.6469, 0.2877)
Zn (0.2684, 0.7684, 0.5000)
Zn (0.7316, 0.2316, 0.5000)
Cu (0.2934, 0.5000, 0.7934)
Cu (0.4137, 0.9137, 0.5000)
Cu (0.5863, 0.0863, 0.5000)
Cu (0.7066, 0.5000, 0.2066)